The following is a theoretical powder diffraction line list of SnSbO4. It was derived from DFT lattice parameters and positions (PBE), using Cu Kα X-rays.
Lines closer than 0.1° are merged.

Peak list (6 most intense, 2θ from 10° to 90°, most intense first)
2theta  Rel. int.
25.7  100
32.5  82
49.8  70
36.7  23
63.5  21
61.8  17

Atomic structure:
```
SnSbO4
1.0
6.9120 0.0000 0.0000
0.0000 6.9317 0.0000
0.0000 0.0000 3.3319
Sn Sb O
2 2 8
direct
0.0000 0.0000 0.0000
0.5000 0.5000 0.0000
0.0000 0.5000 0.5000
0.5000 0.0000 0.5000
0.0000 0.1910 0.5000
0.0000 0.8089 0.5000
0.1919 0.5000 0.0000
0.3081 0.0000 0.0000
0.5000 0.3090 0.5000
0.5000 0.6911 0.5000
0.6919 0.0000 0.0000
0.8081 0.5000 0.0000
```